# 1
The following is a simulated powder X-ray diffraction pattern of Cs3Zn4. It was derived from a crystal structure in OQMD, relaxed with GGA-PBE, using Cu Kα (λ = 1.5418 Å).
Neutral-atom scattering factors, no anomalous dispersion.

Structural model:
Cell lengths 11.804, 4.739, 11.811 Å; angles 90.00, 119.96, 90.00 degrees
Space group P2_1/m (No. 11)
Inequivalent atoms, fractional coordinates:
Cs (0.079, 0.250, 0.403) [2 per cell]
Cs (0.324, 0.250, 0.921) [2 per cell]
Cs (0.403, 0.750, 0.324) [2 per cell]
Zn (0.027, 0.750, 0.144) [2 per cell]
Zn (0.117, 0.750, 0.973) [2 per cell]
Zn (0.144, 0.250, 0.117) [2 per cell]
Zn (0.333, 0.750, 0.666) [2 per cell]

Largest 10 diffraction maxima, low angle first, 15 to 90 degrees two-theta:
- 2θ 23.01, 3.866 Å, I = 73
- 2θ 24.08, 3.696 Å, I = 81
- 2θ 25.63, 3.476 Å, I = 31
- 2θ 29.83, 2.995 Å, I = 100
- 2θ 36.93, 2.434 Å, I = 27
- 2θ 37.97, 2.370 Å, I = 31
- 2θ 43.02, 2.103 Å, I = 31
- 2θ 44.87, 2.020 Å, I = 27
- 2θ 50.18, 1.818 Å, I = 33
- 2θ 53.50, 1.713 Å, I = 29



# 2
The following is a simulated powder X-ray diffraction pattern of K2HgS2. It was derived from a crystal structure in OQMD, relaxed with GGA-PBE, using Cu Kα (λ = 1.5418 Å).
Neutral-atom scattering factors, no anomalous dispersion.

Structural model:
Cell lengths 10.811, 8.094, 7.290 Å; angles 90.00, 90.00, 90.00 degrees
Space group Pbcm (No. 57)
Inequivalent atoms, fractional coordinates:
K (0.104, 0.250, 0.000) [4 per cell]
K (0.388, 0.049, 0.250) [4 per cell]
Hg (0.215, 0.664, 0.250) [4 per cell]
S (0.106, 0.584, 0.750) [4 per cell]
S (0.335, 0.077, 0.750) [4 per cell]

Largest 10 diffraction maxima, low angle first, 15 to 90 degrees two-theta:
- 2θ 16.40, 5.406 Å, I = 78
- 2θ 18.32, 4.843 Å, I = 56
- 2θ 24.42, 3.645 Å, I = 78
- 2θ 28.09, 3.177 Å, I = 100
- 2θ 29.56, 3.022 Å, I = 50
- 2θ 29.78, 3.000 Å, I = 52
- 2θ 30.19, 2.960 Å, I = 56
- 2θ 31.60, 2.831 Å, I = 55
- 2θ 36.47, 2.464 Å, I = 66
- 2θ 49.37, 1.846 Å, I = 49



What did the first record say?
The following is a simulated powder X-ray diffraction pattern of Cs3Zn4. It was derived from a crystal structure in OQMD, relaxed with GGA-PBE, using Cu Kα (λ = 1.5418 Å).
Neutral-atom scattering factors, no anomalous dispersion.

Structural model:
Cell lengths 11.804, 4.739, 11.811 Å; angles 90.00, 119.96, 90.00 degrees
Space group P2_1/m (No. 11)
Inequivalent atoms, fractional coordinates:
Cs (0.079, 0.250, 0.403) [2 per cell]
Cs (0.324, 0.250, 0.921) [2 per cell]
Cs (0.403, 0.750, 0.324) [2 per cell]
Zn (0.027, 0.750, 0.144) [2 per cell]
Zn (0.117, 0.750, 0.973) [2 per cell]
Zn (0.144, 0.250, 0.117) [2 per cell]
Zn (0.333, 0.750, 0.666) [2 per cell]

Largest 10 diffraction maxima, low angle first, 15 to 90 degrees two-theta:
- 2θ 23.01, 3.866 Å, I = 73
- 2θ 24.08, 3.696 Å, I = 81
- 2θ 25.63, 3.476 Å, I = 31
- 2θ 29.83, 2.995 Å, I = 100
- 2θ 36.93, 2.434 Å, I = 27
- 2θ 37.97, 2.370 Å, I = 31
- 2θ 43.02, 2.103 Å, I = 31
- 2θ 44.87, 2.020 Å, I = 27
- 2θ 50.18, 1.818 Å, I = 33
- 2θ 53.50, 1.713 Å, I = 29



What did the first record say?
The following is a simulated powder X-ray diffraction pattern of Cs3Zn4. It was derived from a crystal structure in OQMD, relaxed with GGA-PBE, using Cu Kα (λ = 1.5418 Å).
Neutral-atom scattering factors, no anomalous dispersion.

Structural model:
Cell lengths 11.804, 4.739, 11.811 Å; angles 90.00, 119.96, 90.00 degrees
Space group P2_1/m (No. 11)
Inequivalent atoms, fractional coordinates:
Cs (0.079, 0.250, 0.403) [2 per cell]
Cs (0.324, 0.250, 0.921) [2 per cell]
Cs (0.403, 0.750, 0.324) [2 per cell]
Zn (0.027, 0.750, 0.144) [2 per cell]
Zn (0.117, 0.750, 0.973) [2 per cell]
Zn (0.144, 0.250, 0.117) [2 per cell]
Zn (0.333, 0.750, 0.666) [2 per cell]

Largest 10 diffraction maxima, low angle first, 15 to 90 degrees two-theta:
- 2θ 23.01, 3.866 Å, I = 73
- 2θ 24.08, 3.696 Å, I = 81
- 2θ 25.63, 3.476 Å, I = 31
- 2θ 29.83, 2.995 Å, I = 100
- 2θ 36.93, 2.434 Å, I = 27
- 2θ 37.97, 2.370 Å, I = 31
- 2θ 43.02, 2.103 Å, I = 31
- 2θ 44.87, 2.020 Å, I = 27
- 2θ 50.18, 1.818 Å, I = 33
- 2θ 53.50, 1.713 Å, I = 29